No. 1
Diffraction record for BeTe. The powder XRD pattern is computed, not measured: it uses a structure optimized by DFT (PBE) and copper Kα.

Crystal structure
```
data_BeTe
_chemical_formula_sum 'Be4 Te4'
_symmetry_space_group_name_H-M 'F -4 3 m'
_symmetry_Int_Tables_number 216
_symmetry_space_group_name_Hall 'F -4 2 3'
_cell_length_a 5.667
_cell_length_b 5.667
_cell_length_c 5.667
_cell_angle_alpha 90.00
_cell_angle_beta 90.00
_cell_angle_gamma 90.00
loop_
_atom_site_label
_atom_site_type_symbol
_atom_site_fract_x
_atom_site_fract_y
_atom_site_fract_z
Be1 Be 0.000 0.000 0.000
Te1 Te 0.250 0.250 0.750
```

Largest 10 diffraction maxima, in order of rising 2θ, 2θ from 10° to 90°:
2theta	intensity	index
27.26	100.0	1 1 1
31.57	45.8	2 0 0
45.26	40.8	2 2 0
53.64	45.1	3 1 1
56.23	11.8	2 2 2
65.93	6.6	4 0 0
72.73	17.9	3 3 1
74.94	14.9	4 2 0
83.58	13.7	4 2 2
89.96	14.3	5 1 1



No. 2
Diffraction record for Ge. The powder XRD pattern is computed, not measured: it uses a structure optimized by DFT (PBE) and copper Kα.

Crystal structure
a b c (Å): 5.763 5.763 5.763
angles (deg): 90.00 90.00 90.00
Space group Fd-3m (No. 227, origin choice 2)
Symmetry-distinct sites (fractional):
Ge 0.125 0.125 0.125 x8

Largest 7 diffraction maxima, in order of rising 2θ, 2θ from 10° to 90°:
2theta	intensity	index
26.79	100.0	1 1 1
44.47	75.3	2 2 0
52.68	45.2	3 1 1
64.70	12.0	4 0 0
71.34	17.9	3 3 1
81.89	24.5	4 2 2
88.07	13.8	5 1 1